# 1
Na2Tb2BiO6: computed powder diffractogram (Cu Kα (weighted mean of Kα1 and Kα2)), based on a GGA-PBE-relaxed structure.
Kinematic intensities with the Lorentz-polarization factor, no thermal factor.

Cell and atoms:
Lattice parameters (Å, degrees): 6.0119 6.0119 5.9683 98.83 98.83 120.21
Positions (direct):
Na 0.1640 0.8360 0.0000
Na 0.8360 0.1640 0.0000
Tb 0.3352 0.6648 0.5000
Tb 0.6648 0.3352 0.5000
Bi 0.0000 0.0000 0.5000
O 0.0514 0.3948 0.7029
O 0.2560 0.2560 0.2933
O 0.3948 0.0514 0.7029
O 0.6052 0.9486 0.2971
O 0.7440 0.7440 0.7067
O 0.9486 0.6052 0.2971

The 10 most intense peaks (2θ from 10° to 90°), most intense first:
| 2theta | I (rel.) |
| --- | --- |
| 15.6 | 100 |
| 36.3 | 44 |
| 30.1 | 35 |
| 31.7 | 33 |
| 37.2 | 21 |
| 30.4 | 18 |
| 31.5 | 17 |
| 31.4 | 17 |
| 52.9 | 15 |
| 40.3 | 14 |

=====

# 2
NaReN4: computed powder diffractogram (Cu Kα (weighted mean of Kα1 and Kα2)), based on a GGA-PBE-relaxed structure.
Kinematic intensities with the Lorentz-polarization factor, no thermal factor.

Cell and atoms:
Lattice parameters (Å, degrees): 5.0690 5.0690 6.5752 90.00 90.00 90.00
Positions (direct):
Na 0.0000 0.0000 0.0000
Na 0.5000 0.5000 0.5000
Re 0.0000 0.0000 0.5000
Re 0.5000 0.5000 0.0000
N 0.0000 0.3825 0.5000
N 0.0000 0.6175 0.5000
N 0.1175 0.5000 0.0000
N 0.3825 0.0000 0.5000
N 0.5000 0.1175 0.0000
N 0.5000 0.8825 0.0000
N 0.6175 0.0000 0.5000
N 0.8825 0.5000 0.0000

The 10 most intense peaks (2θ from 10° to 90°), most intense first:
| 2theta | I (rel.) |
| --- | --- |
| 22.1 | 100 |
| 27.1 | 39 |
| 24.8 | 37 |
| 35.4 | 31 |
| 45.2 | 31 |
| 42.2 | 28 |
| 37.1 | 28 |
| 58.6 | 23 |
| 64.7 | 16 |
| 45.1 | 16 |

=====

# 3
NaThIrO4: computed powder diffractogram (Cu Kα (weighted mean of Kα1 and Kα2)), based on a GGA-PBE-relaxed structure.
Kinematic intensities with the Lorentz-polarization factor, no thermal factor.

Cell and atoms:
Lattice parameters (Å, degrees): 6.4926 6.4926 6.4926 117.09 109.60 102.07
Positions (direct):
Na 0.3445 0.0945 0.2500
Na 0.6555 0.9055 0.7500
Th 0.0000 0.5000 0.5000
Th 0.5000 0.5000 0.0000
Ir 0.0000 0.0000 0.5000
Ir 0.0000 0.5000 0.0000
O 0.1432 0.2200 0.9232
O 0.2032 0.7800 0.4232
O 0.2568 0.3041 0.5473
O 0.2568 0.7095 0.9527
O 0.7432 0.2905 0.0473
O 0.7432 0.6959 0.4527
O 0.7968 0.2200 0.5768
O 0.8568 0.7800 0.0768

The 10 most intense peaks (2θ from 10° to 90°), most intense first:
| 2theta | I (rel.) |
| --- | --- |
| 17.0 | 100 |
| 16.1 | 98 |
| 35.7 | 73 |
| 29.4 | 68 |
| 32.5 | 61 |
| 34.4 | 56 |
| 58.2 | 41 |
| 31.0 | 39 |
| 44.4 | 32 |
| 60.9 | 28 |

=====

# 4
Rb3As2H8: computed powder diffractogram (Cu Kα (weighted mean of Kα1 and Kα2)), based on a GGA-PBE-relaxed structure.
Kinematic intensities with the Lorentz-polarization factor, no thermal factor.

Cell and atoms:
Lattice parameters (Å, degrees): 8.3706 8.3706 8.3706 45.18 45.18 45.18
Positions (direct):
Rb 0.0000 0.0000 0.0000
Rb 0.2054 0.2054 0.2054
Rb 0.7946 0.7946 0.7946
As 0.4319 0.4319 0.4319
As 0.5681 0.5681 0.5681
H 0.2351 0.7398 0.7398
H 0.2602 0.2602 0.7649
H 0.2602 0.7649 0.2602
H 0.3624 0.3624 0.3624
H 0.6376 0.6376 0.6376
H 0.7398 0.2351 0.7398
H 0.7398 0.7398 0.2351
H 0.7649 0.2602 0.2602

The 10 most intense peaks (2θ from 10° to 90°), most intense first:
| 2theta | I (rel.) |
| --- | --- |
| 27.7 | 100 |
| 25.4 | 84 |
| 46.0 | 31 |
| 47.7 | 30 |
| 38.0 | 29 |
| 49.1 | 20 |
| 22.5 | 17 |
| 35.9 | 15 |
| 57.3 | 13 |
| 62.3 | 13 |

=====

# 5
CrH2I4: computed powder diffractogram (Cu Kα (weighted mean of Kα1 and Kα2)), based on a GGA-PBE-relaxed structure.
Kinematic intensities with the Lorentz-polarization factor, no thermal factor.

Cell and atoms:
Lattice parameters (Å, degrees): 7.3849 3.8986 7.6916 90.00 96.73 90.00
Positions (direct):
Cr 0.0000 0.0000 0.0000
H 0.2878 0.5000 0.3039
H 0.7122 0.5000 0.6961
I 0.1837 0.5000 0.8444
I 0.2861 0.0000 0.3028
I 0.7139 0.0000 0.6972
I 0.8163 0.5000 0.1556

The 10 most intense peaks (2θ from 10° to 90°), most intense first:
| 2theta | I (rel.) |
| --- | --- |
| 27.8 | 100 |
| 29.0 | 77 |
| 27.6 | 50 |
| 24.3 | 44 |
| 42.4 | 43 |
| 46.6 | 38 |
| 25.7 | 34 |
| 39.5 | 34 |
| 15.7 | 33 |
| 25.0 | 32 |

=====

# 6
LiHo3Sc3S8: computed powder diffractogram (Cu Kα (weighted mean of Kα1 and Kα2)), based on a GGA-PBE-relaxed structure.
Kinematic intensities with the Lorentz-polarization factor, no thermal factor.

Cell and atoms:
Lattice parameters (Å, degrees): 7.5447 7.5447 7.5447 59.76 59.76 59.76
Positions (direct):
Li 0.0000 0.0000 0.0000
Ho 0.0000 0.0000 0.5000
Ho 0.0000 0.5000 0.0000
Ho 0.5000 0.0000 0.0000
Sc 0.0000 0.5000 0.5000
Sc 0.5000 0.0000 0.5000
Sc 0.5000 0.5000 0.0000
S 0.2474 0.2474 0.7432
S 0.2474 0.7432 0.2474
S 0.2546 0.2546 0.2546
S 0.2568 0.7526 0.7526
S 0.7432 0.2473 0.2474
S 0.7454 0.7454 0.7454
S 0.7526 0.2568 0.7526
S 0.7526 0.7527 0.2568

The 10 most intense peaks (2θ from 10° to 90°), most intense first:
| 2theta | I (rel.) |
| --- | --- |
| 33.7 | 100 |
| 14.4 | 45 |
| 48.4 | 34 |
| 48.2 | 34 |
| 16.6 | 29 |
| 23.6 | 26 |
| 27.8 | 26 |
| 29.1 | 23 |
| 60.3 | 17 |
| 36.8 | 16 |

=====

# 7
NaBi3Pd3: computed powder diffractogram (Cu Kα (weighted mean of Kα1 and Kα2)), based on a GGA-PBE-relaxed structure.
Kinematic intensities with the Lorentz-polarization factor, no thermal factor.

Cell and atoms:
Lattice parameters (Å, degrees): 7.3507 7.3507 7.3507 69.85 69.85 69.85
Positions (direct):
Na 0.1605 0.1605 0.1605
Na 0.8395 0.8395 0.8395
Bi 0.1298 0.6870 0.3965
Bi 0.3130 0.6035 0.8702
Bi 0.3965 0.1298 0.6870
Bi 0.6035 0.8702 0.3130
Bi 0.6870 0.3965 0.1298
Bi 0.8702 0.3130 0.6035
Pd 0.0454 0.4404 0.8095
Pd 0.1905 0.9546 0.5596
Pd 0.4404 0.8095 0.0454
Pd 0.5596 0.1905 0.9546
Pd 0.8095 0.0454 0.4404
Pd 0.9546 0.5596 0.1905

The 10 most intense peaks (2θ from 10° to 90°), most intense first:
| 2theta | I (rel.) |
| --- | --- |
| 21.1 | 100 |
| 39.1 | 75 |
| 37.0 | 73 |
| 34.3 | 48 |
| 32.5 | 48 |
| 50.0 | 41 |
| 33.0 | 38 |
| 26.6 | 36 |
| 39.3 | 25 |
| 72.1 | 19 |

=====

# 8
Ho3BTe2: computed powder diffractogram (Cu Kα (weighted mean of Kα1 and Kα2)), based on a GGA-PBE-relaxed structure.
Kinematic intensities with the Lorentz-polarization factor, no thermal factor.

Cell and atoms:
Lattice parameters (Å, degrees): 13.6315 12.9991 7.2733 79.01 69.41 31.59
Positions (direct):
Ho 0.0339 0.5309 0.1728
Ho 0.0737 0.6763 0.6763
Ho 0.1728 0.7624 0.0339
Ho 0.2376 0.8272 0.4691
Ho 0.3237 0.9263 0.9263
Ho 0.4691 0.9661 0.2376
Ho 0.5309 0.0339 0.7624
Ho 0.6763 0.0737 0.0737
Ho 0.7624 0.1728 0.5309
Ho 0.8272 0.2376 0.9661
Ho 0.9263 0.3237 0.3237
Ho 0.9661 0.4691 0.8272
B 0.0411 0.0411 0.2089
B 0.2089 0.2089 0.0411
B 0.7911 0.7911 0.9589
B 0.9589 0.9589 0.7911
Te 0.1307 0.1307 0.6193
Te 0.2972 0.2972 0.4528
Te 0.3807 0.3807 0.8693
Te 0.4528 0.4528 0.2972
Te 0.5472 0.5472 0.7028
Te 0.6193 0.6193 0.1307
Te 0.7028 0.7028 0.5472
Te 0.8693 0.8693 0.3807

The 10 most intense peaks (2θ from 10° to 90°), most intense first:
| 2theta | I (rel.) |
| --- | --- |
| 30.3 | 100 |
| 43.4 | 43 |
| 39.4 | 13 |
| 54.5 | 12 |
| 71.5 | 12 |
| 44.2 | 11 |
| 32.7 | 9 |
| 42.6 | 9 |
| 31.0 | 9 |
| 35.9 | 9 |

=====

# 9
Tm3BiS2: computed powder diffractogram (Cu Kα (weighted mean of Kα1 and Kα2)), based on a GGA-PBE-relaxed structure.
Kinematic intensities with the Lorentz-polarization factor, no thermal factor.

Cell and atoms:
Lattice parameters (Å, degrees): 7.7027 7.7027 7.7027 125.01 89.48 115.81
Positions (direct):
Tm 0.0000 0.2296 0.2296
Tm 0.0000 0.7704 0.7704
Tm 0.5000 0.0000 0.0000
Tm 0.5000 0.2296 0.7296
Tm 0.5000 0.5000 0.5000
Tm 0.5000 0.7704 0.2704
Bi 0.1508 0.9008 0.2500
Bi 0.8492 0.0992 0.7500
S 0.2753 0.7113 0.5640
S 0.3527 0.2887 0.0640
S 0.6473 0.7113 0.9360
S 0.7247 0.2887 0.4360

The 10 most intense peaks (2θ from 10° to 90°), most intense first:
| 2theta | I (rel.) |
| --- | --- |
| 37.3 | 100 |
| 27.2 | 50 |
| 32.7 | 50 |
| 36.9 | 48 |
| 28.6 | 39 |
| 16.5 | 38 |
| 26.4 | 30 |
| 62.4 | 28 |
| 33.9 | 27 |
| 30.0 | 25 |

=====

# 10
BaTl2Sn2Se4: computed powder diffractogram (Cu Kα (weighted mean of Kα1 and Kα2)), based on a GGA-PBE-relaxed structure.
Kinematic intensities with the Lorentz-polarization factor, no thermal factor.

Cell and atoms:
Lattice parameters (Å, degrees): 9.6403 9.6403 8.4357 115.88 115.88 25.71
Positions (direct):
Ba 0.0000 0.0000 0.0000
Tl 0.1126 0.1126 0.5800
Tl 0.8874 0.8874 0.4200
Sn 0.2957 0.2957 0.9186
Sn 0.7043 0.7043 0.0814
Se 0.1886 0.1886 0.2720
Se 0.4383 0.4383 0.2085
Se 0.5617 0.5617 0.7915
Se 0.8114 0.8114 0.7280

The 10 most intense peaks (2θ from 10° to 90°), most intense first:
| 2theta | I (rel.) |
| --- | --- |
| 28.6 | 100 |
| 30.2 | 99 |
| 25.6 | 51 |
| 31.6 | 43 |
| 51.7 | 39 |
| 44.1 | 37 |
| 33.8 | 35 |
| 21.1 | 30 |
| 42.1 | 30 |
| 35.7 | 28 |

=====

# 11
Pm3Nd8: computed powder diffractogram (Cu Kα (weighted mean of Kα1 and Kα2)), based on a GGA-PBE-relaxed structure.
Kinematic intensities with the Lorentz-polarization factor, no thermal factor.

Cell and atoms:
Lattice parameters (Å, degrees): 6.3823 6.3823 13.2497 103.82 103.82 47.89
Positions (direct):
Pm 0.0000 0.0000 0.0000
Pm 0.0907 0.0907 0.6360
Pm 0.9093 0.9093 0.3640
Nd 0.1819 0.1819 0.2727
Nd 0.2726 0.2726 0.9091
Nd 0.3637 0.3637 0.5454
Nd 0.4546 0.4546 0.1818
Nd 0.5454 0.5454 0.8182
Nd 0.6363 0.6363 0.4546
Nd 0.7274 0.7274 0.0909
Nd 0.8181 0.8181 0.7273

The 10 most intense peaks (2θ from 10° to 90°), most intense first:
| 2theta | I (rel.) |
| --- | --- |
| 29.8 | 100 |
| 34.4 | 17 |
| 34.5 | 17 |
| 34.6 | 17 |
| 58.7 | 15 |
| 58.9 | 14 |
| 59.1 | 14 |
| 61.8 | 13 |
| 49.5 | 12 |
| 49.6 | 12 |

=====

# 12
Cd2Hg3Pd7: computed powder diffractogram (Cu Kα (weighted mean of Kα1 and Kα2)), based on a GGA-PBE-relaxed structure.
Kinematic intensities with the Lorentz-polarization factor, no thermal factor.

Cell and atoms:
Lattice parameters (Å, degrees): 4.7217 4.7293 10.7358 77.28 88.29 81.95
Positions (direct):
Cd 0.9996 0.1508 0.1991
Cd 0.0004 0.8492 0.8009
Hg 0.0000 0.0000 0.5000
Hg 0.4994 0.6488 0.2019
Hg 0.5006 0.3512 0.7981
Pd 0.0002 0.4253 0.6496
Pd 0.9998 0.5747 0.3504
Pd 0.0009 0.2828 0.9334
Pd 0.4998 0.0724 0.3550
Pd 0.5000 0.5000 0.5000
Pd 0.5002 0.9276 0.6450
Pd 0.9991 0.7172 0.0666

The 10 most intense peaks (2θ from 10° to 90°), most intense first:
| 2theta | I (rel.) |
| --- | --- |
| 38.5 | 100 |
| 39.3 | 91 |
| 42.0 | 75 |
| 68.3 | 27 |
| 51.2 | 22 |
| 22.9 | 22 |
| 25.5 | 22 |
| 73.8 | 21 |
| 75.4 | 18 |
| 59.7 | 14 |

=====

# 13
Li2HF3: computed powder diffractogram (Cu Kα (weighted mean of Kα1 and Kα2)), based on a GGA-PBE-relaxed structure.
Kinematic intensities with the Lorentz-polarization factor, no thermal factor.

Cell and atoms:
Lattice parameters (Å, degrees): 5.2301 5.2301 6.1303 107.21 107.21 43.51
Positions (direct):
Li 0.1902 0.1927 0.0951
Li 0.1927 0.1902 0.5951
Li 0.8073 0.8098 0.4049
Li 0.8098 0.8073 0.9049
H 0.3153 0.6847 0.7500
H 0.6847 0.3153 0.2500
F 0.0680 0.9320 0.7500
F 0.3229 0.3241 0.4119
F 0.3241 0.3229 0.9119
F 0.6759 0.6771 0.0881
F 0.6771 0.6759 0.5881
F 0.9320 0.0680 0.2500

The 10 most intense peaks (2θ from 10° to 90°), most intense first:
| 2theta | I (rel.) |
| --- | --- |
| 37.4 | 100 |
| 41.6 | 38 |
| 41.7 | 38 |
| 46.9 | 21 |
| 60.4 | 19 |
| 64.4 | 12 |
| 64.5 | 12 |
| 79.7 | 10 |
| 73.1 | 8 |
| 73.3 | 8 |